[1]
Starting from DFT lattice parameters and positions (PBE+U), the powder X-ray diffraction pattern of Mn2F5 was computed for Cu Kα (λ = 1.5418 Å).
No peak broadening, texture or thermal motion is included.

Atomic structure:
Cell lengths 12.7733, 4.8724, 5.3822 Å; angles 90.00, 97.68, 90.00 degrees
Space group C2/c (No. 15)
Unique sites:
1 Mn 0.1228 0.2208 0.1007
2 F 0.0000 0.0232 0.7500
3 F 0.0980 0.4452 0.3944
4 F 0.2032 0.0655 0.8316

The 10 most intense peaks (2θ from 15° to 90°), by angle:
h k l	2θ/deg	intensity
1 1 1	26.4	100
4 0 0	28.2	40
3 1 -1	31.2	41
5 1 0	40.1	15
5 1 1	45.6	29
4 2 0	47.1	19
6 0 -2	51.5	37
2 2 2	54.3	17
1 1 -3	54.5	14
3 3 -1	62.9	11

[2]
Starting from DFT lattice parameters and positions (PBE+U), the powder X-ray diffraction pattern of Fe10O9F11 was computed for Cu Kα (λ = 1.5418 Å).
No peak broadening, texture or thermal motion is included.

Atomic structure:
Cell lengths 4.7508, 4.7635, 15.5515 Å; angles 90.34, 90.36, 91.30 degrees
Space group P1 (No. 1)
Unique sites:
1 Fe 0.0000 0.0000 0.0000
2 Fe 0.0055 0.0087 0.8029
3 Fe 0.4146 0.5096 0.1042
4 Fe 0.4200 0.5032 0.9018
5 Fe 0.4293 0.5257 0.6998
6 Fe 0.4473 0.4894 0.3098
7 Fe 0.4727 0.5150 0.4953
8 Fe 0.9315 0.9632 0.6083
9 Fe 0.9558 0.0077 0.4026
10 Fe 0.9895 0.0202 0.1960
11 O 0.1438 0.8122 0.7025
12 O 0.1511 0.8185 0.1014
13 O 0.1588 0.8167 0.9012
14 O 0.2645 0.3093 0.4054
15 O 0.2650 0.3189 0.0024
16 O 0.2676 0.3196 0.2043
17 O 0.2711 0.3221 0.7991
18 O 0.6346 0.6856 0.6026
19 O 0.6538 0.6976 0.3996
20 F 0.1478 0.7998 0.5104
21 F 0.1580 0.8105 0.2944
22 F 0.2430 0.2957 0.6025
23 F 0.6561 0.7094 0.0013
24 F 0.6575 0.7114 0.8027
25 F 0.6605 0.7132 0.1998
26 F 0.7559 0.1942 0.5128
27 F 0.7561 0.2000 0.7038
28 F 0.7621 0.2089 0.1002
29 F 0.7639 0.2022 0.2921
30 F 0.7669 0.2057 0.9012

The 10 most intense peaks (2θ from 15° to 90°), by angle:
h k l	2θ/deg	intensity
1 -1 0	26.2	100
1 1 0	26.8	97
0 1 -5	34.4	52
0 1 5	34.6	53
1 -1 5	39.2	19
1 -2 5	51.7	30
-1 2 5	51.8	31
1 2 -5	52.2	26
1 2 5	52.7	29
3 0 -5	66.1	25

[3]
Starting from DFT lattice parameters and positions (PBE+U), the powder X-ray diffraction pattern of NaLaVWO6 was computed for Cu Kα (λ = 1.5418 Å).
No peak broadening, texture or thermal motion is included.

Atomic structure:
Cell lengths 7.9845, 7.9845, 7.9845 Å; angles 90.00, 90.00, 90.00 degrees
Space group F-43m (No. 216)
Unique sites:
1 Na 0.0000 0.0000 0.0000
2 La 0.0000 0.0000 0.5000
3 V 0.2500 0.2500 0.7500
4 W 0.2500 0.2500 0.2500
5 O 0.0066 0.2500 0.2500

The 10 most intense peaks (2θ from 15° to 90°), by angle:
h k l	2θ/deg	intensity
1 1 1	19.3	53
2 0 0	22.3	11
2 2 0	31.7	100
3 1 1	37.4	29
4 0 0	45.4	33
3 3 1	49.8	13
4 2 2	56.5	39
5 1 1	60.2	11
4 4 0	66.2	20
6 2 0	75.3	17